(1)
Diffraction record for OsC3. The X-ray diffraction stick pattern is computed, not measured: it uses a PBE-relaxed structure and a wavelength of 1.5418 Å.
Kinematic intensities with the Lorentz-polarization factor, no thermal factor.

Structural model:
Cell lengths 7.398, 10.407, 2.537 Å; angles 90.00, 90.00, 90.00 degrees
Space group Cmcm (No. 63)
Asymmetric unit:
Os 0.000 0.110 0.250 (multiplicity 4)
C 0.000 0.499 0.750 (multiplicity 4)
C 0.213 0.229 0.250 (multiplicity 8)

Principal peaks in the range 15° ≤ 2θ ≤ 90°, in order of falling intensity:
two_theta  I/Imax  index
24.1  100  2 0 0
46.8  71  2 2 1
39.5  63  0 2 1
46.0  59  1 3 1
38.5  58  1 1 1
42.5  46  2 4 0
28.4  44  1 3 0
45.3  41  1 5 0
37.5  36  3 1 0
58.6  34  3 3 1
64.9  29  4 2 1
34.5  26  0 4 0


(2)
Diffraction record for Ta6NbAl. The X-ray diffraction stick pattern is computed, not measured: it uses a PBE-relaxed structure and a wavelength of 1.5418 Å.
Kinematic intensities with the Lorentz-polarization factor, no thermal factor.

Structural model:
Cell lengths 5.252, 5.247, 5.252 Å; angles 90.00, 90.08, 90.00 degrees
Space group P2/m (No. 10)
Asymmetric unit:
Ta 0.000 0.000 0.249 (multiplicity 2)
Ta 0.251 0.500 0.001 (multiplicity 2)
Ta 0.500 0.249 0.500 (multiplicity 2)
Nb 0.500 0.000 0.000 (multiplicity 1)
Al 0.000 0.500 0.500 (multiplicity 1)

Principal peaks in the range 15° ≤ 2θ ≤ 90°, in order of falling intensity:
two_theta  I/Imax  index
38.3  100  1 0 2
42.2  34  1 2 1
63.9  23  0 2 3
66.6  18  3 1 2
24.0  17  1 0 -1
34.2  15  2 0 0
61.1  15  2 2 2
71.9  11  4 0 0
84.5  11  4 2 -1
84.6  11  1 4 2
55.3  4  3 0 -1
49.1  3  2 2 0


(3)
Diffraction record for Pu3Bi4Pb. The X-ray diffraction stick pattern is computed, not measured: it uses a PBE-relaxed structure and a wavelength of 1.5418 Å.
Kinematic intensities with the Lorentz-polarization factor, no thermal factor.

Structural model:
Cell lengths 3.387, 5.905, 12.075 Å; angles 90.00, 90.00, 90.00 degrees
Space group Pmmm (No. 47)
Asymmetric unit:
Pu 0.000 0.000 0.000 (multiplicity 1)
Pu 0.000 0.500 0.256 (multiplicity 2)
Bi 0.500 0.000 0.243 (multiplicity 2)
Bi 0.500 0.500 0.000 (multiplicity 1)
Bi 0.500 0.500 0.500 (multiplicity 1)
Pb 0.000 0.000 0.500 (multiplicity 1)

Principal peaks in the range 15° ≤ 2θ ≤ 90°, in order of falling intensity:
two_theta  I/Imax  index
33.9  100  1 1 2
29.6  35  0 0 4
30.3  34  0 2 0
42.8  26  0 2 4
55.3  25  1 1 6
56.1  25  1 3 2
62.9  13  0 4 0
71.4  12  2 2 4
72.8  11  1 3 6
63.3  9  2 2 0
89.3  7  1 5 2
89.9  7  3 1 2


(4)
Diffraction record for Rb2CdS2. The X-ray diffraction stick pattern is computed, not measured: it uses a PBE-relaxed structure and a wavelength of 1.5418 Å.
Kinematic intensities with the Lorentz-polarization factor, no thermal factor.

Structural model:
Cell lengths 10.038, 7.968, 8.151 Å; angles 90.00, 98.09, 90.00 degrees
Space group P2_1/c (No. 14)
Asymmetric unit:
Rb 0.062 0.224 0.021 (multiplicity 4)
Rb 0.320 0.633 0.932 (multiplicity 4)
Cd 0.378 0.087 0.839 (multiplicity 4)
S 0.153 0.548 0.248 (multiplicity 4)
S 0.421 0.141 0.163 (multiplicity 4)

Principal peaks in the range 15° ≤ 2θ ≤ 90°, in order of falling intensity:
two_theta  I/Imax  index
27.0  100  1 2 1
25.0  78  1 0 2
35.2  63  1 1 -3
29.2  57  3 1 0
28.7  54  2 1 -2
29.9  50  2 2 -1
26.4  41  2 0 -2
46.5  41  2 2 3
35.8  38  3 2 -1
17.2  36  1 1 -1
26.9  34  3 0 0
32.5  34  2 1 2


(5)
Diffraction record for Y4CdAg3. The X-ray diffraction stick pattern is computed, not measured: it uses a PBE-relaxed structure and a wavelength of 1.5418 Å.
Kinematic intensities with the Lorentz-polarization factor, no thermal factor.

Structural model:
Cell lengths 3.690, 4.866, 11.330 Å; angles 90.00, 90.00, 90.00 degrees
Space group Pmm2 (No. 25)
Asymmetric unit:
Y 0.000 0.000 0.000 (multiplicity 1)
Y 0.000 0.500 0.282 (multiplicity 1)
Y 0.500 0.000 0.486 (multiplicity 1)
Y 0.500 0.500 0.791 (multiplicity 1)
Cd 0.000 0.000 0.718 (multiplicity 1)
Ag 0.000 0.500 0.560 (multiplicity 1)
Ag 0.500 0.000 0.218 (multiplicity 1)
Ag 0.500 0.500 0.063 (multiplicity 1)

Principal peaks in the range 15° ≤ 2θ ≤ 90°, in order of falling intensity:
two_theta  I/Imax  index
31.4  100  1 1 1
38.8  75  1 1 3
36.7  47  0 1 4
36.9  42  0 2 0
63.1  31  2 1 4
49.4  30  2 0 0
34.0  23  1 0 3
31.6  23  0 0 4
75.0  18  1 2 7
63.3  16  2 2 0
62.7  15  1 0 7
51.1  14  1 2 3


(6)
Diffraction record for WN2. The X-ray diffraction stick pattern is computed, not measured: it uses a PBE-relaxed structure and a wavelength of 1.5418 Å.
Kinematic intensities with the Lorentz-polarization factor, no thermal factor.

Structural model:
Cell lengths 9.734, 9.734, 3.047 Å; angles 90.00, 90.00, 90.00 degrees
Space group P4_2/n (No. 86, origin choice 2)
Asymmetric unit:
W 0.001 0.252 0.088 (multiplicity 8)
N 0.099 0.349 0.500 (multiplicity 8)
N 0.102 0.852 0.529 (multiplicity 8)

Principal peaks in the range 15° ≤ 2θ ≤ 90°, in order of falling intensity:
two_theta  I/Imax  index
25.9  100  2 2 0
34.7  59  2 0 1
51.6  47  4 2 1
36.9  30  4 0 0
60.1  18  6 2 0
53.2  16  4 4 0
65.1  13  6 0 1
36.0  12  1 2 1
77.3  11  6 4 1
88.9  10  8 2 1
30.7  9  1 0 1
44.9  6  3 2 1


(7)
Diffraction record for NaFeP2Ir. The X-ray diffraction stick pattern is computed, not measured: it uses a PBE-relaxed structure and a wavelength of 1.5418 Å.
Kinematic intensities with the Lorentz-polarization factor, no thermal factor.

Structural model:
Cell lengths 3.919, 3.919, 9.959 Å; angles 90.00, 90.00, 90.00 degrees
Space group I-4m2 (No. 119)
Asymmetric unit:
Na 0.000 0.000 0.000 (multiplicity 2)
Fe 0.000 0.500 0.250 (multiplicity 2)
P 0.000 0.000 0.370 (multiplicity 4)
Ir 0.000 0.500 0.750 (multiplicity 2)

Principal peaks in the range 15° ≤ 2θ ≤ 90°, in order of falling intensity:
two_theta  I/Imax  index
17.8  100  0 0 2
37.1  89  1 1 2
24.4  61  1 0 1
49.2  44  1 1 4
46.3  36  2 0 0
35.4  31  1 0 3
50.0  27  2 0 2
32.3  23  1 1 0
79.7  19  3 1 2
65.6  18  1 1 6
88.0  17  3 1 4
53.1  16  2 1 1


(8)
Diffraction record for VOsPt. The X-ray diffraction stick pattern is computed, not measured: it uses a PBE-relaxed structure and a wavelength of 1.5418 Å.
Kinematic intensities with the Lorentz-polarization factor, no thermal factor.

Structural model:
Cell lengths 3.850, 11.558, 3.912 Å; angles 90.00, 90.00, 90.00 degrees
Space group Cmcm (No. 63)
Asymmetric unit:
V 0.000 0.098 0.250 (multiplicity 4)
Os 0.000 0.252 0.750 (multiplicity 4)
Pt 0.000 0.420 0.250 (multiplicity 4)

Principal peaks in the range 15° ≤ 2θ ≤ 90°, in order of falling intensity:
two_theta  I/Imax  index
40.4  100  1 3 1
47.2  32  2 0 0
83.1  24  3 3 1
68.4  21  2 0 2
46.4  17  0 0 2
24.4  17  1 1 0
81.9  13  1 3 3
87.2  11  2 6 2
69.0  10  2 6 0
27.5  9  0 2 1
38.7  7  0 4 1
15.3  6  0 2 0


(9)
Diffraction record for Pr3Zn3Co2. The X-ray diffraction stick pattern is computed, not measured: it uses a PBE-relaxed structure and a wavelength of 1.5418 Å.
Kinematic intensities with the Lorentz-polarization factor, no thermal factor.

Structural model:
Cell lengths 3.806, 11.457, 16.687 Å; angles 90.00, 90.00, 90.00 degrees
Space group Cmcm (No. 63)
Asymmetric unit:
Pr 0.000 0.090 0.250 (multiplicity 4)
Pr 0.000 0.146 0.569 (multiplicity 8)
Zn 0.000 0.190 0.750 (multiplicity 4)
Zn 0.000 0.424 0.588 (multiplicity 8)
Co 0.000 0.412 0.182 (multiplicity 8)

Principal peaks in the range 15° ≤ 2θ ≤ 90°, in order of falling intensity:
two_theta  I/Imax  index
37.1  100  1 3 3
29.5  88  1 1 3
32.2  44  0 0 6
33.2  42  1 3 0
41.0  41  0 2 7
31.2  40  0 4 0
47.8  35  2 0 0
22.3  35  0 2 3
32.8  31  1 1 4
41.5  29  0 4 5
46.9  29  1 3 6
36.7  29  1 1 5


(10)
Diffraction record for Er2Tm3. The X-ray diffraction stick pattern is computed, not measured: it uses a PBE-relaxed structure and a wavelength of 1.5418 Å.
Kinematic intensities with the Lorentz-polarization factor, no thermal factor.

Structural model:
Cell lengths 11.623, 6.168, 9.018 Å; angles 90.00, 109.94, 90.00 degrees
Space group C2/c (No. 15)
Asymmetric unit:
Er 0.100 0.167 0.450 (multiplicity 8)
Tm 0.000 0.334 0.750 (multiplicity 4)
Tm 0.200 0.334 0.150 (multiplicity 8)

Principal peaks in the range 15° ≤ 2θ ≤ 90°, in order of falling intensity:
two_theta  I/Imax  index
33.3  100  2 2 -1
28.9  24  1 1 2
32.4  24  4 0 -2
62.0  22  6 0 2
58.3  20  6 2 -3
51.3  20  2 0 4
62.5  16  4 2 3
44.0  15  5 1 0
85.0  14  3 5 1
89.8  9  10 0 0
81.3  8  8 2 1
69.8  4  4 4 -2


(11)
Diffraction record for Li2ReO5. The X-ray diffraction stick pattern is computed, not measured: it uses a PBE-relaxed structure and a wavelength of 1.5418 Å.
Kinematic intensities with the Lorentz-polarization factor, no thermal factor.

Structural model:
Cell lengths 8.363, 8.430, 6.502 Å; angles 90.00, 90.00, 90.00 degrees
Space group Pnnm (No. 58)
Asymmetric unit:
Li 0.000 0.000 0.217 (multiplicity 4)
Li 0.143 0.405 0.500 (multiplicity 4)
Re 0.229 0.788 0.500 (multiplicity 4)
O 0.009 0.089 0.500 (multiplicity 4)
O 0.083 0.636 0.500 (multiplicity 4)
O 0.098 0.164 0.000 (multiplicity 4)
O 0.248 0.396 0.232 (multiplicity 8)

Principal peaks in the range 15° ≤ 2θ ≤ 90°, in order of falling intensity:
two_theta  I/Imax  index
20.3  100  1 1 1
41.2  19  2 2 2
21.2  19  2 0 0
34.8  14  0 2 2
21.1  14  0 2 0
36.7  14  3 1 1
27.4  13  0 0 2
30.1  13  2 2 0
36.5  12  1 3 1
44.5  12  1 1 3
23.6  10  1 2 0
56.7  9  0 0 4


(12)
Diffraction record for ThGa6Br12. The X-ray diffraction stick pattern is computed, not measured: it uses a PBE-relaxed structure and a wavelength of 1.5418 Å.
Kinematic intensities with the Lorentz-polarization factor, no thermal factor.

Structural model:
Cell lengths 12.8313, 12.8313, 14.6355 Å; angles 90.00, 90.00, 120.00 degrees
Space group R-3 (No. 148, hexagonal axes)
Asymmetric unit:
Th 0.0000 0.0000 0.0000 (multiplicity 3)
Ga 0.0157 0.2424 0.6854 (multiplicity 18)
Br 0.0002 0.1836 0.8889 (multiplicity 18)
Br 0.0316 0.1959 0.3729 (multiplicity 18)

Principal peaks in the range 15° ≤ 2θ ≤ 90°, in order of falling intensity:
two_theta  I/Imax  index
32.5  100  2 1 4
37.1  79  1 4 0
24.4  68  1 2 2
22.0  68  2 1 1
18.2  67  0 0 3
31.5  60  3 1 2
37.4  44  2 3 2
41.6  41  1 4 3
46.8  40  4 -2 6
20.1  39  2 0 2
17.1  35  0 2 1
39.5  24  2 -1 6